For Cu8SiSe6, a GGA-PBE-relaxed structure gives the computed powder diffraction line list in this record (Cu Kα, 1.54184 Å).

Main lines, by angle (5 to 70 degrees two-theta):
2θ/deg, Rel. int., (hkl)
28.76, 574, 2 1 1
28.98, 582, 1 0 3
30.07, 959, 2 0 2
30.37, 665, 0 2 2
45.82, 451, 3 0 3
46.12, 1000, 2 3 1
49.93, 321, 4 0 0
50.42, 776, 2 2 4

Atomic structure:
```
data_Cu8SiSe6
_space_group_name_H-M_alt 'P m n 21'
_space_group_IT_number 31
_cell_length_a 7.307
_cell_length_b 7.202
_cell_length_c 10.218
_cell_angle_alpha 90.00
_cell_angle_beta 90.00
_cell_angle_gamma 90.00
loop_
_space_group_symop_operation_xyz
'x,y,z'
'-x+1/2,-y,z+1/2'
'-x,y,z'
'x+1/2,-y,z+1/2'
loop_
_atom_site_label
_atom_site_type_symbol
_atom_site_fract_x
_atom_site_fract_y
_atom_site_fract_z
Cu1 Cu 0.000 0.094 0.000
Cu2 Cu 0.000 0.232 0.569
Cu3 Cu 0.188 0.018 0.786
Cu4 Cu 0.194 0.659 0.879
Cu5 Cu 0.215 0.606 0.191
Si1 Si 0.000 0.752 0.527
Se1 Se 0.000 0.004 0.396
Se2 Se 0.000 0.299 0.803
Se3 Se 0.000 0.495 0.395
Se4 Se 0.000 0.766 0.049
Se5 Se 0.239 0.251 0.147
```